[1]
Theoretical powder diffractogram
Compound: NpCu2Si2
Radiation: Cu Kα X-rays
Structure: the PBE geometry in the Materials Project
Kinematic intensities with the Lorentz-polarization factor, no thermal factor.

Largest 6 diffraction maxima, by angle, 2θ from 15° to 90°:
| h k l | 2θ/deg | I/Imax |
| --- | --- | --- |
| 1 0 1 | 24.2 | 71 |
| 1 0 3 | 35.2 | 56 |
| 1 1 2 | 36.8 | 100 |
| 2 0 0 | 45.9 | 34 |
| 1 0 5 | 51.1 | 22 |
| 2 1 3 | 59.1 | 26 |

a b c (Å): 3.9504 3.9504 10.0318
angles (deg): 90.00 90.00 90.00
Fractional positions:
Np (0.0000, 0.0000, 0.0000)
Np (0.5000, 0.5000, 0.5000)
Cu (0.0000, 0.5000, 0.2500)
Cu (0.0000, 0.5000, 0.7500)
Cu (0.5000, 0.0000, 0.2500)
Cu (0.5000, 0.0000, 0.7500)
Si (0.0000, 0.0000, 0.3830)
Si (0.0000, 0.0000, 0.6170)
Si (0.5000, 0.5000, 0.1170)
Si (0.5000, 0.5000, 0.8830)

***

[2]
Theoretical powder diffractogram
Compound: Fe11MoC4
Radiation: Cu Kα X-rays
Structure: the PBE geometry in the Materials Project
Kinematic intensities with the Lorentz-polarization factor, no thermal factor.

Largest 6 diffraction maxima, by angle, 2θ from 15° to 90°:
| h k l | 2θ/deg | I/Imax |
| --- | --- | --- |
| 2 0 0 | 39.8 | 18 |
| 2 1 0 | 43.6 | 21 |
| 2 -1 0 | 44.0 | 19 |
| 1 0 -3 | 44.5 | 100 |
| -2 1 1 | 46.1 | 17 |
| 1 2 -2 | 49.2 | 17 |

a b c (Å): 4.5268 5.0506 6.8442
angles (deg): 89.60 89.97 89.38
Fractional positions:
Fe (0.0000, 0.0000, 0.0000)
Fe (0.0000, 0.2770, 0.3128)
Fe (0.0065, 0.2822, 0.6723)
Fe (0.1667, 0.7818, 0.3094)
Fe (0.1686, 0.4917, 0.0021)
Fe (0.5018, 0.1339, 0.1825)
Fe (0.5024, 0.4199, 0.5038)
Fe (0.5146, 0.1428, 0.8220)
Fe (0.6656, 0.6355, 0.1858)
Fe (0.6704, 0.9184, 0.4988)
Fe (0.6715, 0.6324, 0.8298)
Mo (0.1712, 0.7767, 0.6861)
C (0.2804, 0.0895, 0.4781)
C (0.3986, 0.8361, 0.0030)
C (0.7728, 0.3364, 0.0087)
C (0.8908, 0.5768, 0.4772)

***

[3]
Theoretical powder diffractogram
Compound: Mg3Ti4
Radiation: Cu Kα X-rays
Structure: the PBE geometry in the Materials Project
Kinematic intensities with the Lorentz-polarization factor, no thermal factor.

Largest 6 diffraction maxima, by angle, 2θ from 15° to 90°:
| h k l | 2θ/deg | I/Imax |
| --- | --- | --- |
| 2 1 0 | 34.4 | 26 |
| 0 0 2 | 36.7 | 27 |
| 2 1 1 | 39.1 | 100 |
| 1 4 0 | 61.6 | 16 |
| 2 1 3 | 67.8 | 17 |
| 1 4 2 | 73.9 | 17 |

a b c (Å): 7.9649 7.9649 4.8948
angles (deg): 90.00 90.00 120.00
Fractional positions:
Mg (0.0931, 0.4715, 0.2500)
Mg (0.3783, 0.9069, 0.2500)
Mg (0.4715, 0.3783, 0.7500)
Mg (0.5285, 0.6217, 0.2500)
Mg (0.6217, 0.0931, 0.7500)
Mg (0.9069, 0.5285, 0.7500)
Ti (0.0443, 0.2258, 0.7500)
Ti (0.1815, 0.9557, 0.7500)
Ti (0.2258, 0.1815, 0.2500)
Ti (0.3333, 0.6667, 0.7500)
Ti (0.6667, 0.3333, 0.2500)
Ti (0.7742, 0.8185, 0.7500)
Ti (0.8185, 0.0443, 0.2500)
Ti (0.9557, 0.7742, 0.2500)

***

[4]
Theoretical powder diffractogram
Compound: Cs3SbSe4
Radiation: Cu Kα X-rays
Structure: the PBE geometry in the Materials Project
Kinematic intensities with the Lorentz-polarization factor, no thermal factor.

Largest 6 diffraction maxima, by angle, 2θ from 15° to 90°:
| h k l | 2θ/deg | I/Imax |
| --- | --- | --- |
| 2 2 0 | 22.4 | 39 |
| 0 1 3 | 25.7 | 40 |
| 3 0 1 | 26.9 | 33 |
| 2 3 0 | 27.8 | 100 |
| 2 3 1 | 29.0 | 34 |
| 2 2 3 | 33.5 | 37 |

a b c (Å): 10.4268 12.1926 10.8689
angles (deg): 90.00 90.00 90.00
Fractional positions:
Cs (0.0573, 0.0438, 0.1974)
Cs (0.0573, 0.4562, 0.1974)
Cs (0.1437, 0.7500, 0.4207)
Cs (0.3563, 0.2500, 0.9207)
Cs (0.4427, 0.5438, 0.6974)
Cs (0.4427, 0.9562, 0.6974)
Cs (0.5573, 0.0438, 0.3026)
Cs (0.5573, 0.4562, 0.3026)
Cs (0.6437, 0.7500, 0.0793)
Cs (0.8563, 0.2500, 0.5793)
Cs (0.9427, 0.5438, 0.8026)
Cs (0.9427, 0.9562, 0.8026)
Sb (0.2302, 0.7500, 0.9783)
Sb (0.2698, 0.2500, 0.4783)
Sb (0.7302, 0.7500, 0.5217)
Sb (0.7698, 0.2500, 0.0217)
Se (0.0152, 0.7500, 0.0858)
Se (0.1475, 0.0784, 0.5316)
Se (0.1475, 0.4216, 0.5316)
Se (0.1913, 0.7500, 0.7498)
Se (0.3087, 0.2500, 0.2498)
Se (0.3524, 0.5784, 0.0316)
Se (0.3524, 0.9216, 0.0316)
Se (0.4848, 0.2500, 0.5858)
Se (0.5152, 0.7500, 0.4142)
Se (0.6476, 0.0784, 0.9684)
Se (0.6476, 0.4216, 0.9684)
Se (0.6913, 0.7500, 0.7502)
Se (0.8087, 0.2500, 0.2502)
Se (0.8524, 0.5784, 0.4684)
Se (0.8524, 0.9216, 0.4684)
Se (0.9848, 0.2500, 0.9142)

***

[5]
Theoretical powder diffractogram
Compound: Pm2CdHg
Radiation: Cu Kα X-rays
Structure: the PBE geometry in the Materials Project
Kinematic intensities with the Lorentz-polarization factor, no thermal factor.

Largest 6 diffraction maxima, by angle, 2θ from 15° to 90°:
| h k l | 2θ/deg | I/Imax |
| --- | --- | --- |
| 2 2 0 | 33.1 | 100 |
| 4 0 0 | 47.5 | 18 |
| 4 2 2 | 59.2 | 38 |
| 4 4 0 | 69.5 | 12 |
| 6 2 0 | 79.2 | 16 |
| 4 4 4 | 88.6 | 4 |

a b c (Å): 7.6505 7.6505 7.6505
angles (deg): 90.00 90.00 90.00
Fractional positions:
Pm (0.2500, 0.2500, 0.2500)
Pm (0.2500, 0.2500, 0.7500)
Pm (0.2500, 0.7500, 0.2500)
Pm (0.2500, 0.7500, 0.7500)
Pm (0.7500, 0.2500, 0.2500)
Pm (0.7500, 0.2500, 0.7500)
Pm (0.7500, 0.7500, 0.2500)
Pm (0.7500, 0.7500, 0.7500)
Cd (0.0000, 0.0000, 0.0000)
Cd (0.0000, 0.5000, 0.5000)
Cd (0.5000, 0.0000, 0.5000)
Cd (0.5000, 0.5000, 0.0000)
Hg (0.0000, 0.0000, 0.5000)
Hg (0.0000, 0.5000, 0.0000)
Hg (0.5000, 0.0000, 0.0000)
Hg (0.5000, 0.5000, 0.5000)

***

[6]
Theoretical powder diffractogram
Compound: NaMg14BO15
Radiation: Cu Kα X-rays
Structure: the PBE geometry in the Materials Project
Kinematic intensities with the Lorentz-polarization factor, no thermal factor.

Largest 6 diffraction maxima, by angle, 2θ from 15° to 90°:
| h k l | 2θ/deg | I/Imax |
| --- | --- | --- |
| 0 4 0 | 41.9 | 99 |
| 2 0 0 | 42.2 | 100 |
| 0 0 4 | 43.0 | 87 |
| 2 4 0 | 61.0 | 55 |
| 0 4 4 | 61.7 | 50 |
| 2 0 4 | 61.8 | 51 |

a b c (Å): 4.2850 8.6157 8.4075
angles (deg): 90.00 90.00 90.00
Fractional positions:
Na (0.0000, 0.0000, 0.0000)
Mg (0.0000, 0.0000, 0.5002)
Mg (0.0000, 0.2394, 0.2537)
Mg (0.0000, 0.2409, 0.7461)
Mg (0.0000, 0.5000, 0.9980)
Mg (0.0000, 0.7591, 0.7461)
Mg (0.0000, 0.7606, 0.2537)
Mg (0.5000, 0.0000, 0.2474)
Mg (0.5000, 0.0000, 0.7534)
Mg (0.5000, 0.2471, 0.0013)
Mg (0.5000, 0.2519, 0.5002)
Mg (0.5000, 0.5000, 0.2598)
Mg (0.5000, 0.5000, 0.7366)
Mg (0.5000, 0.7481, 0.5002)
Mg (0.5000, 0.7529, 0.0013)
B (0.0000, 0.5000, 0.4838)
O (0.0000, 0.0000, 0.2629)
O (0.0000, 0.0000, 0.7376)
O (0.0000, 0.2504, 0.5002)
O (0.0000, 0.2719, 0.0019)
O (0.0000, 0.5000, 0.3140)
O (0.0000, 0.7281, 0.0019)
O (0.0000, 0.7496, 0.5002)
O (0.5000, 0.0000, 0.9997)
O (0.5000, 0.0000, 0.5012)
O (0.5000, 0.2544, 0.2509)
O (0.5000, 0.2568, 0.7503)
O (0.5000, 0.5000, 0.0053)
O (0.5000, 0.5000, 0.4996)
O (0.5000, 0.7432, 0.7503)
O (0.5000, 0.7456, 0.2509)

***

[7]
Theoretical powder diffractogram
Compound: K2HgP2Se6
Radiation: Cu Kα X-rays
Structure: the PBE geometry in the Materials Project
Kinematic intensities with the Lorentz-polarization factor, no thermal factor.

Largest 6 diffraction maxima, by angle, 2θ from 15° to 90°:
| h k l | 2θ/deg | I/Imax |
| --- | --- | --- |
| 1 2 1 | 26.4 | 35 |
| 1 0 4 | 29.4 | 100 |
| 4 1 -3 | 31.0 | 30 |
| 3 2 -2 | 31.9 | 40 |
| 3 2 -3 | 33.7 | 29 |
| 1 1 6 | 44.5 | 32 |

a b c (Å): 13.3126 7.4460 14.5930
angles (deg): 90.00 110.43 90.00
Fractional positions:
K (0.0980, 0.0400, 0.3794)
K (0.0980, 0.4600, 0.8794)
K (0.4006, 0.0540, 0.2842)
K (0.4006, 0.4460, 0.7842)
K (0.5994, 0.5540, 0.2158)
K (0.5994, 0.9460, 0.7158)
K (0.9020, 0.5400, 0.1206)
K (0.9020, 0.9600, 0.6206)
Hg (0.2576, 0.6080, 0.5221)
Hg (0.2576, 0.8920, 0.0221)
Hg (0.7424, 0.1080, 0.9779)
Hg (0.7424, 0.3920, 0.4779)
P (0.0392, 0.0375, 0.0825)
P (0.0392, 0.4625, 0.5825)
P (0.4815, 0.6121, 0.4405)
P (0.4815, 0.8879, 0.9405)
P (0.5185, 0.1121, 0.0595)
P (0.5185, 0.3879, 0.5595)
P (0.9608, 0.5375, 0.4175)
P (0.9608, 0.9625, 0.9175)
Se (0.0900, 0.5093, 0.3545)
Se (0.0900, 0.9907, 0.8545)
Se (0.1117, 0.1981, 0.6021)
Se (0.1117, 0.3019, 0.1021)
Se (0.1571, 0.6845, 0.6479)
Se (0.1571, 0.8155, 0.1479)
Se (0.3600, 0.2202, 0.0545)
Se (0.3600, 0.2798, 0.5545)
Se (0.3831, 0.5110, 0.2986)
Se (0.3831, 0.9890, 0.7986)
Se (0.4022, 0.6686, 0.9980)
Se (0.4022, 0.8314, 0.4980)
Se (0.5978, 0.1686, 0.5020)
Se (0.5978, 0.3314, 0.0020)
Se (0.6169, 0.0110, 0.2014)
Se (0.6169, 0.4890, 0.7014)
Se (0.6400, 0.7202, 0.4455)
Se (0.6400, 0.7798, 0.9455)
Se (0.8429, 0.1845, 0.8521)
Se (0.8429, 0.3155, 0.3521)
Se (0.8883, 0.6981, 0.8979)
Se (0.8883, 0.8019, 0.3979)
Se (0.9100, 0.0093, 0.1455)
Se (0.9100, 0.4907, 0.6455)